Starting from a DFT-relaxed cell (PBE, Alexandria), the PXRD pattern of PrPd4Au4 was computed for Cu Kα, 1.54184 Å.

Crystal structure
a = 5.884 Å, b = 5.884 Å, c = 10.064 Å
α = 90.00°, β = 90.00°, γ = 90.00°
Sites, in units of the cell vectors:
1 Pr 0.250 0.750 0.250
2 Pr 0.750 0.250 0.750
3 Pd 0.027 0.250 0.182
4 Pd 0.250 0.027 0.682
5 Pd 0.250 0.473 0.682
6 Pd 0.473 0.250 0.182
7 Pd 0.527 0.750 0.818
8 Pd 0.750 0.527 0.318
9 Pd 0.750 0.973 0.318
10 Pd 0.973 0.750 0.818
11 Au 0.013 0.250 0.476
12 Au 0.250 0.013 0.976
13 Au 0.250 0.487 0.976
14 Au 0.487 0.250 0.476
15 Au 0.513 0.750 0.524
16 Au 0.750 0.513 0.024
17 Au 0.750 0.987 0.024
18 Au 0.987 0.750 0.524

Top 12 peaks for 2θ from 10° to 80°, by intensity:
2theta, I (rel.)
40.79, 100.0
31.69, 58.1
35.26, 46.5
43.50, 37.3
78.01, 26.9
72.40, 25.2
47.27, 23.6
38.93, 23.0
63.21, 18.8
17.62, 16.1
35.68, 15.5
50.16, 12.4

***

Starting from a DFT-relaxed cell (PBE, Alexandria), the PXRD pattern of PrPd8Au2 was computed for Cu Kα, 1.54184 Å.

Crystal structure
a = 6.433 Å, b = 6.433 Å, c = 5.457 Å
α = 90.00°, β = 90.00°, γ = 90.00°
Sites, in units of the cell vectors:
1 Pr 0.000 0.000 0.000
2 Pd 0.290 0.290 0.242
3 Pd 0.290 0.290 0.758
4 Pd 0.290 0.710 0.242
5 Pd 0.290 0.710 0.758
6 Pd 0.710 0.290 0.242
7 Pd 0.710 0.290 0.758
8 Pd 0.710 0.710 0.242
9 Pd 0.710 0.710 0.758
10 Au 0.000 0.500 0.500
11 Au 0.500 0.000 0.500

Top 12 peaks for 2θ from 10° to 80°, by intensity:
2theta, I (rel.)
43.49, 100.0
25.49, 71.9
39.62, 56.5
47.71, 26.1
74.57, 22.9
42.14, 17.4
62.16, 17.4
31.08, 16.4
57.28, 13.4
35.74, 13.0
32.31, 11.7
69.31, 11.6

***

Starting from a DFT-relaxed cell (PBE, Alexandria), the PXRD pattern of Pr5Pd2Au was computed for Cu Kα, 1.54184 Å.

Crystal structure
a = 8.838 Å, b = 8.838 Å, c = 8.838 Å
α = 124.92°, β = 124.92°, γ = 81.68°
Sites, in units of the cell vectors:
1 Pr 0.000 0.000 0.000
2 Pr 0.019 0.519 0.826
3 Pr 0.194 0.019 0.500
4 Pr 0.306 0.806 0.826
5 Pr 0.481 0.306 0.500
6 Pr 0.500 0.500 0.000
7 Pr 0.519 0.694 0.500
8 Pr 0.694 0.194 0.174
9 Pr 0.806 0.981 0.500
10 Pr 0.981 0.481 0.174
11 Pd 0.127 0.373 0.500
12 Pd 0.373 0.873 0.245
13 Pd 0.627 0.127 0.755
14 Pd 0.873 0.627 0.500
15 Au 0.250 0.250 0.000
16 Au 0.750 0.750 0.000

Top 12 peaks for 2θ from 10° to 80°, by intensity:
2theta, I (rel.)
34.69, 100.0
31.66, 86.8
30.92, 37.6
54.99, 22.4
64.45, 14.3
66.63, 13.5
64.91, 12.5
50.38, 10.6
49.90, 10.1
41.85, 8.0
68.16, 6.9
79.52, 6.8

***

Starting from a DFT-relaxed cell (PBE, Alexandria), the PXRD pattern of Pr3Pd2Au9 was computed for Cu Kα, 1.54184 Å.

Crystal structure
a = 8.525 Å, b = 8.525 Å, c = 8.525 Å
α = 148.51°, β = 107.87°, γ = 80.82°
Sites, in units of the cell vectors:
1 Pr 0.000 0.000 0.000
2 Pr 0.304 0.304 0.000
3 Pr 0.696 0.696 0.000
4 Pd 0.333 0.500 0.833
5 Pd 0.667 0.500 0.167
6 Au 0.026 0.662 0.364
7 Au 0.153 0.876 0.277
8 Au 0.297 0.662 0.636
9 Au 0.400 0.124 0.277
10 Au 0.500 0.000 0.500
11 Au 0.600 0.876 0.723
12 Au 0.703 0.338 0.364
13 Au 0.847 0.124 0.723
14 Au 0.974 0.338 0.636

Top 12 peaks for 2θ from 10° to 80°, by intensity:
2theta, I (rel.)
33.51, 100.0
38.93, 80.9
41.53, 66.2
32.86, 53.0
33.04, 47.2
35.90, 42.0
43.49, 39.7
51.84, 29.9
65.79, 29.8
39.81, 26.9
33.87, 25.3
34.93, 23.3

***

Starting from a DFT-relaxed cell (PBE, Alexandria), the PXRD pattern of Pr2PdAu3 was computed for Cu Kα, 1.54184 Å.

Crystal structure
a = 3.694 Å, b = 4.841 Å, c = 7.975 Å
α = 90.00°, β = 90.00°, γ = 90.00°
Sites, in units of the cell vectors:
1 Pr 0.000 0.000 0.000
2 Pr 0.000 0.500 0.482
3 Pd 0.500 0.000 0.313
4 Au 0.500 0.000 0.653
5 Au 0.500 0.500 0.161
6 Au 0.500 0.500 0.817

Top 12 peaks for 2θ from 10° to 80°, by intensity:
2theta, I (rel.)
32.49, 100.0
38.64, 77.0
33.05, 54.3
37.14, 43.6
64.36, 34.7
50.56, 33.1
24.09, 23.4
49.33, 19.5
63.33, 18.5
46.05, 17.6
66.74, 15.7
67.96, 15.4

***

Starting from a DFT-relaxed cell (PBE, Alexandria), the PXRD pattern of Pr2Pd5Au4 was computed for Cu Kα, 1.54184 Å.

Crystal structure
a = 10.055 Å, b = 9.351 Å, c = 5.403 Å
α = 81.16°, β = 66.77°, γ = 32.07°
Sites, in units of the cell vectors:
1 Pr 0.129 0.129 0.871
2 Pr 0.871 0.871 0.129
3 Pd 0.000 0.000 0.500
4 Pd 0.250 0.250 0.250
5 Pd 0.500 0.500 0.000
6 Pd 0.500 0.500 0.500
7 Pd 0.750 0.750 0.750
8 Au 0.211 0.533 0.467
9 Au 0.467 0.789 0.211
10 Au 0.533 0.211 0.789
11 Au 0.789 0.467 0.533

Top 12 peaks for 2θ from 10° to 80°, by intensity:
2theta, I (rel.)
38.07, 100.0
36.55, 95.0
33.57, 57.7
40.42, 55.7
41.96, 48.3
19.21, 44.4
19.89, 34.5
69.65, 32.3
49.14, 28.1
42.97, 26.6
32.13, 22.7
60.19, 22.5